Structure and simulated powder XRD pattern of SmGe5 (a structure optimized by DFT (GGA-PBE); Cu Kα X-rays).

Atomic structure:
Lattice parameters (Å, degrees): 4.0216 6.1973 9.9407 90.00 90.00 90.00
Fractional coordinates of all 12 atoms:
Sm (0.0000, 0.0000, 0.0000)
Sm (0.5000, 0.5000, 0.5000)
Ge (0.0000, 0.2080, 0.3301)
Ge (0.0000, 0.2080, 0.6699)
Ge (0.0000, 0.5000, 0.0000)
Ge (0.0000, 0.7920, 0.3301)
Ge (0.0000, 0.7920, 0.6699)
Ge (0.5000, 0.0000, 0.5000)
Ge (0.5000, 0.2920, 0.1699)
Ge (0.5000, 0.2920, 0.8301)
Ge (0.5000, 0.7080, 0.1699)
Ge (0.5000, 0.7080, 0.8301)

Main lines, in order of rising 2θ (2θ = 5–70°):
Position (°2θ), intensity
26.42, 18
30.59, 12
34.10, 52
35.09, 100
37.75, 73
45.09, 25
46.86, 18
53.14, 8
55.46, 18
57.72, 23
59.87, 22
67.06, 12

Structure and simulated powder XRD pattern of Sm4Ge7 (a structure optimized by DFT (GGA-PBE); Cu Kα X-rays).

Atomic structure:
Lattice parameters (Å, degrees): 7.5723 7.5723 11.9530 90.00 90.00 133.57
Fractional coordinates of all 22 atoms:
Sm (0.0043, 0.9957, 0.7500)
Sm (0.0174, 0.5081, 0.1198)
Sm (0.4866, 0.4866, 0.5000)
Sm (0.4919, 0.9826, 0.3802)
Sm (0.5081, 0.0174, 0.8802)
Sm (0.5134, 0.5134, 0.0000)
Sm (0.9826, 0.4919, 0.6198)
Sm (0.9957, 0.0043, 0.2500)
Ge (0.0710, 0.8933, 0.4891)
Ge (0.0810, 0.4258, 0.3717)
Ge (0.1067, 0.9290, 0.0109)
Ge (0.1801, 0.4745, 0.8369)
Ge (0.4258, 0.0810, 0.6283)
Ge (0.4391, 0.5609, 0.2500)
Ge (0.4745, 0.1801, 0.1631)
Ge (0.5255, 0.8199, 0.6631)
Ge (0.5609, 0.4391, 0.7500)
Ge (0.5742, 0.9190, 0.1283)
Ge (0.8199, 0.5255, 0.3369)
Ge (0.8933, 0.0710, 0.5109)
Ge (0.9190, 0.5742, 0.8717)
Ge (0.9290, 0.1067, 0.9891)

Main lines, in order of rising 2θ (2θ = 5–70°):
Position (°2θ), intensity
25.60, 7
28.58, 43
32.63, 100
34.19, 7
38.74, 46
42.82, 36
50.56, 7
50.75, 17
52.29, 10
59.11, 20
62.16, 9
68.52, 17

Structure and simulated powder XRD pattern of Sm2TiGe2 (a structure optimized by DFT (GGA-PBE); Cu Kα X-rays).

Atomic structure:
Lattice parameters (Å, degrees): 3.0090 3.0090 14.5107 90.00 90.00 90.00
Fractional coordinates of all 5 atoms:
Sm (0.0000, 0.0000, 0.1237)
Sm (0.0000, 0.0000, 0.8763)
Ti (0.0000, 0.0000, 0.5000)
Ge (0.0000, 0.0000, 0.3267)
Ge (0.0000, 0.0000, 0.6733)

Main lines, in order of rising 2θ (2θ = 5–70°):
Position (°2θ), intensity
6.09, 55
24.54, 30
29.69, 100
30.81, 25
38.89, 36
42.49, 37
43.32, 39
49.68, 18
53.39, 21
61.65, 12
65.70, 9
69.90, 17

Structure and simulated powder XRD pattern of Sm2Zn6Ge3 (a structure optimized by DFT (GGA-PBE); Cu Kα X-rays).

Atomic structure:
Lattice parameters (Å, degrees): 7.6494 7.6494 4.0760 90.00 90.00 120.00
Fractional coordinates of all 11 atoms:
Sm (0.3333, 0.6667, 0.0000)
Sm (0.6667, 0.3333, 0.0000)
Zn (0.0000, 0.2861, 0.5000)
Zn (0.0000, 0.8095, 0.0000)
Zn (0.1905, 0.1905, 0.0000)
Zn (0.2861, 0.0000, 0.5000)
Zn (0.7139, 0.7139, 0.5000)
Zn (0.8095, 0.0000, 0.0000)
Ge (0.0000, 0.6142, 0.5000)
Ge (0.3858, 0.3858, 0.5000)
Ge (0.6142, 0.0000, 0.5000)

Main lines, in order of rising 2θ (2θ = 5–70°):
Position (°2θ), intensity
32.09, 100
34.90, 15
35.86, 23
40.87, 32
42.37, 54
44.45, 24
49.62, 13
52.88, 14
58.38, 11
61.96, 18
68.79, 10
68.92, 21

Structure and simulated powder XRD pattern of SnGe (a structure optimized by DFT (GGA-PBE); Cu Kα X-rays).

Atomic structure:
Lattice parameters (Å, degrees): 4.3636 4.3636 12.5862 90.00 90.00 120.00
Fractional coordinates of all 2 atoms:
Sn (0.0000, 0.0000, 0.0000)
Ge (0.3333, 0.6667, 0.0612)

Main lines, in order of rising 2θ (2θ = 5–70°):
Position (°2θ), intensity
7.02, 100
14.07, 21
21.18, 7
23.54, 6
24.60, 12
27.53, 10
31.87, 9
37.18, 7
42.03, 9
43.18, 6
43.92, 7
46.94, 5

Structure and simulated powder XRD pattern of SnGe3 (a structure optimized by DFT (GGA-PBE); Cu Kα X-rays).

Atomic structure:
Lattice parameters (Å, degrees): 4.3640 4.3640 8.8993 90.00 90.00 90.00
Fractional coordinates of all 8 atoms:
Sn (0.0000, 0.0000, 0.0000)
Sn (0.5000, 0.5000, 0.5000)
Ge (0.0000, 0.0000, 0.5000)
Ge (0.0000, 0.5000, 0.2500)
Ge (0.0000, 0.5000, 0.7500)
Ge (0.5000, 0.0000, 0.2500)
Ge (0.5000, 0.0000, 0.7500)
Ge (0.5000, 0.5000, 0.0000)

Main lines, in order of rising 2θ (2θ = 5–70°):
Position (°2θ), intensity
19.95, 2
22.69, 5
28.93, 1
35.40, 100
36.63, 2
40.55, 17
41.38, 32
46.35, 1
47.71, 2
56.44, 1
59.32, 22
59.95, 11

> Number 3 is which compound?

Sm2TiGe2